Entry 1:
Structure and simulated powder diffractogram of Na3CdGe (DFT lattice parameters and positions (PBE); λ = 1.5418 Å (Cu Kα)).
Peak positions follow from Bragg's law for the DFT cell and can differ from measured ones.

Crystal structure
a = 5.9586 Å, b = 5.6545 Å, c = 7.8572 Å
α = 90.00°, β = 104.30°, γ = 90.00°
Space group P2_1/m (No. 11)
One atom of each set of equivalent atoms:
1 Na 0.0000 0.0000 0.0000 x2
2 Na 0.3433 0.2500 0.4011 x2
3 Na 0.4706 0.2500 0.8615 x2
4 Cd 0.0532 0.7500 0.3763 x2
5 Ge 0.2171 0.7500 0.7366 x2

Most intense lines, 2θ from 10° to 90°, sorted by position:
| 2theta | d [Å] | I_rel |
| --- | --- | --- |
| 11.62 | 7.614 | 60 |
| 15.35 | 5.774 | 89 |
| 16.82 | 5.270 | 56 |
| 22.00 | 4.040 | 47 |
| 31.65 | 2.827 | 59 |
| 34.27 | 2.617 | 100 |
| 34.91 | 2.570 | 89 |
| 35.07 | 2.559 | 93 |

***

Entry 2:
Structure and simulated powder diffractogram of Na16Cd12Ge (DFT lattice parameters and positions (PBE); λ = 1.5418 Å (Cu Kα)).
Peak positions follow from Bragg's law for the DFT cell and can differ from measured ones.

Crystal structure
a = 11.6173 Å, b = 15.9414 Å, c = 10.0927 Å
α = 90.00°, β = 123.56°, γ = 90.00°
Space group Cm (No. 8)
One atom of each set of equivalent atoms:
1 Na 0.0000 0.0000 0.0000 x2
2 Na 0.0058 0.0000 0.3666 x2
3 Na 0.0604 0.3536 0.4118 x4
4 Na 0.1197 0.5000 0.6862 x2
5 Na 0.1525 0.1616 0.5895 x4
6 Na 0.1803 0.1808 0.9993 x4
7 Na 0.1943 0.5000 0.2975 x2
8 Na 0.2992 0.2931 0.3274 x4
9 Na 0.4515 0.1158 0.9797 x4
10 Na 0.4767 0.1901 0.6958 x4
11 Cd 0.0072 0.1928 0.1824 x4
12 Cd 0.1767 0.0000 0.8039 x2
13 Cd 0.2471 0.4085 0.0333 x4
14 Cd 0.2643 0.0936 0.3659 x4
15 Cd 0.3120 0.3165 0.8242 x4
16 Cd 0.3447 0.0000 0.1657 x2
17 Cd 0.4044 0.4057 0.6462 x4
18 Ge 0.3308 0.0000 0.6508 x2

Most intense lines, 2θ from 10° to 90°, sorted by position:
| 2theta | d [Å] | I_rel |
| --- | --- | --- |
| 18.29 | 4.851 | 100 |
| 19.05 | 4.658 | 71 |
| 19.17 | 4.630 | 57 |
| 32.29 | 2.772 | 60 |
| 32.85 | 2.726 | 77 |
| 33.34 | 2.688 | 60 |
| 36.82 | 2.441 | 53 |
| 37.00 | 2.429 | 81 |